Theoretical PXRD pattern
Compound: SrCeVO4
Radiation: Cu Kα (weighted mean of Kα1 and Kα2)
Structure: the PBE+U geometry in the Materials Project
Lines closer than 0.1° are merged.

Cell and atoms:
Unit cell a=3.925 b=3.925 c=12.539 alpha=90.00 beta=90.00 gamma=90.00
Space group I4mm (No. 107)
One atom of each set of equivalent atoms:
Sr 0.000 0.000 0.000 (multiplicity 2)
Ce 0.000 0.000 0.713 (multiplicity 2)
V 0.000 0.000 0.357 (multiplicity 2)
O 0.000 0.000 0.189 (multiplicity 2)
O 0.000 0.000 0.535 (multiplicity 2)
O 0.000 0.500 0.348 (multiplicity 4)

Most intense lines, 10 to 80 degrees two-theta, sorted by position:
- d = 3.746 Å, rel. 28, (1 0 1)
- d = 2.861 Å, rel. 100, (1 0 3)
- d = 2.775 Å, rel. 71, (1 1 0)
- d = 2.113 Å, rel. 13, (1 0 5)
- d = 2.090 Å, rel. 13, (0 0 6)
- d = 2.078 Å, rel. 31, (1 1 4)
- d = 1.963 Å, rel. 38, (2 0 0)
- d = 1.669 Å, rel. 16, (1 1 6)
- d = 1.630 Å, rel. 11, (1 0 7)
- d = 1.618 Å, rel. 37, (2 1 3)
- d = 1.431 Å, rel. 14, (2 0 6)
- d = 1.388 Å, rel. 11, (2 2 0)

=====

Theoretical PXRD pattern
Compound: Mn2O3F
Radiation: Cu Kα (weighted mean of Kα1 and Kα2)
Structure: the PBE+U geometry in the Materials Project
Lines closer than 0.1° are merged.

Cell and atoms:
Unit cell a=8.728 b=6.681 c=8.746 alpha=90.00 beta=92.80 gamma=90.00
Space group C2 (No. 5)
One atom of each set of equivalent atoms:
Mn 0.000 0.000 0.000 (multiplicity 2)
Mn 0.000 0.458 0.500 (multiplicity 2)
Mn 0.125 0.471 0.124 (multiplicity 4)
Mn 0.125 0.990 0.626 (multiplicity 4)
Mn 0.250 0.453 0.749 (multiplicity 4)
O 0.000 0.171 0.500 (multiplicity 2)
O 0.000 0.285 0.000 (multiplicity 2)
O 0.027 0.973 0.222 (multiplicity 4)
O 0.028 0.470 0.721 (multiplicity 4)
O 0.222 0.976 0.030 (multiplicity 4)
O 0.223 0.467 0.526 (multiplicity 4)
O 0.249 0.663 0.250 (multiplicity 4)
F 0.000 0.692 0.000 (multiplicity 2)
F 0.000 0.783 0.500 (multiplicity 2)
F 0.244 0.763 0.744 (multiplicity 4)

Most intense lines, 10 to 80 degrees two-theta, sorted by position:
- d = 3.341 Å, rel. 90, (0 2 0)
- d = 3.163 Å, rel. 91, (2 0 -2)
- d = 2.519 Å, rel. 100, (3 1 1)
- d = 2.297 Å, rel. 15, (2 2 -2)
- d = 2.237 Å, rel. 17, (2 2 2)
- d = 1.723 Å, rel. 54, (3 3 1)
- d = 1.674 Å, rel. 26, (1 1 -5)
- d = 1.671 Å, rel. 42, (0 4 0)
- d = 1.582 Å, rel. 15, (4 0 -4)
- d = 1.506 Å, rel. 16, (4 0 4)
- d = 1.366 Å, rel. 19, (1 3 -5)
- d = 1.364 Å, rel. 18, (5 3 -1)

=====

Theoretical PXRD pattern
Compound: Na4MgMo4O10
Radiation: Cu Kα (weighted mean of Kα1 and Kα2)
Structure: the PBE+U geometry in the Materials Project
Lines closer than 0.1° are merged.

Cell and atoms:
Unit cell a=5.927 b=5.982 c=7.971 alpha=110.63 beta=109.47 gamma=91.59
Space group P1 (No. 1)
One atom of each set of equivalent atoms:
Na 0.000 0.000 0.000 (multiplicity 1)
Na 0.166 0.105 0.390 (multiplicity 1)
Na 0.484 0.466 0.067 (multiplicity 1)
Na 0.672 0.715 0.436 (multiplicity 1)
Mg 0.538 0.138 0.746 (multiplicity 1)
Mo 0.069 0.566 0.230 (multiplicity 1)
Mo 0.439 0.663 0.726 (multiplicity 1)
Mo 0.566 0.063 0.232 (multiplicity 1)
Mo 0.923 0.389 0.678 (multiplicity 1)
O 0.274 0.799 0.539 (multiplicity 1)
O 0.284 0.792 0.154 (multiplicity 1)
O 0.299 0.373 0.745 (multiplicity 1)
O 0.331 0.317 0.241 (multiplicity 1)
O 0.501 0.997 0.931 (multiplicity 1)
O 0.610 0.144 0.523 (multiplicity 1)
O 0.766 0.698 0.725 (multiplicity 1)
O 0.803 0.817 0.226 (multiplicity 1)
O 0.864 0.354 0.355 (multiplicity 1)
O 0.870 0.347 0.919 (multiplicity 1)

Most intense lines, 10 to 80 degrees two-theta, sorted by position:
- d = 5.461 Å, rel. 34, (0 1 -1)
- d = 4.268 Å, rel. 88, (1 -1 0)
- d = 4.149 Å, rel. 57, (1 1 -1)
- d = 3.615 Å, rel. 30, (-1 1 1)
- d = 3.470 Å, rel. 100, (0 0 2)
- d = 2.989 Å, rel. 34, (0 2 -1)
- d = 2.961 Å, rel. 59, (2 0 -1)
- d = 2.757 Å, rel. 31, (2 0 0)
- d = 2.708 Å, rel. 79, (1 1 1)
- d = 2.676 Å, rel. 29, (-1 1 2)
- d = 2.649 Å, rel. 39, (1 -2 0)
- d = 2.134 Å, rel. 36, (2 -2 0)

=====

Q: Which formula does entry 1 have?
A: SrCeVO4